The following is a calculated PXRD pattern of Sr4PrMn5O15. It was derived from DFT lattice parameters and positions (PBE+U), using λ = 1.5418 Å (Cu Kα).
Intensities are scaled so that the largest is 100.

Largest 12 diffraction maxima, in order of rising 2θ, 2θ from 10° to 80°:
| h k l | 2θ/deg | I (rel.) |
| --- | --- | --- |
| 4 0 -1 | 22.90 | 4 |
| 5 1 0 | 32.60 | 100 |
| 4 2 -1 | 40.22 | 16 |
| 8 0 -2 | 46.67 | 12 |
| 2 2 2 | 46.83 | 25 |
| 6 2 1 | 52.74 | 2 |
| 10 0 0 | 58.11 | 13 |
| 7 1 2 | 58.22 | 25 |
| 6 2 -4 | 68.26 | 14 |
| 0 4 0 | 68.39 | 7 |
| 11 1 -4 | 77.58 | 5 |
| 2 4 2 | 77.84 | 11 |

Atomic structure:
a = 16.512 Å, b = 5.489 Å, c = 6.724 Å
α = 90.00°, β = 105.94°, γ = 90.00°
Space group C2/m (No. 12)
One atom of each set of equivalent atoms:
Sr: 0.100 0.000 0.400 x4
Sr: 0.200 0.500 0.799 x4
Pr: 0.000 0.500 0.000 x2
Mn: 0.000 0.500 0.500 x2
Mn: 0.101 0.000 0.900 x4
Mn: 0.201 0.500 0.302 x4
O: 0.000 0.000 0.000 x2
O: 0.048 0.255 0.707 x8
O: 0.098 0.500 0.396 x4
O: 0.144 0.256 0.099 x8
O: 0.202 0.000 0.809 x4
O: 0.250 0.250 0.500 x4